# TaNbVMo
Computed PXRD pattern, λ = 1.5418 Å (Cu Kα). Input: a GGA-PBE-relaxed structure.

Largest 8 diffraction maxima, most intense first, 2θ = 10–90°:
39.8°, 2.264 Å, I 100
39.5°, 2.281 Å, I 20
72.3°, 1.307 Å, I 20
57.3°, 1.607 Å, I 13
71.9°, 1.314 Å, I 13
19.5°, 4.561 Å, I 11
85.8°, 1.132 Å, I 11
21.9°, 4.058 Å, I 7

Structure:
Unit cell a=5.3367 b=5.3367 c=5.3367 alpha=145.22 beta=129.76 gamma=62.55
Fractional positions:
Ta: 0.0000 0.0000 0.0000
Nb: 0.7382 0.2382 0.5000
V: 0.2582 0.7582 0.5000
Mo: 0.4928 0.4928 0.0000



# TaNbMoW2
Computed PXRD pattern, λ = 1.5418 Å (Cu Kα). Input: a GGA-PBE-relaxed structure.

Largest 8 diffraction maxima, most intense first, 2θ = 10–90°:
40.3°, 2.240 Å, I 100
18.1°, 4.908 Å, I 74
36.6°, 2.454 Å, I 59
48.4°, 1.882 Å, I 59
39.2°, 2.300 Å, I 53
34.4°, 2.604 Å, I 39
62.1°, 1.494 Å, I 27
51.1°, 1.786 Å, I 25

Structure:
Unit cell a=4.6461 b=4.6461 c=9.8166 alpha=90.00 beta=90.00 gamma=111.83
Fractional positions:
Ta: 0.2500 0.7500 0.7597
Ta: 0.7500 0.2500 0.2403
Nb: 0.2500 0.2500 0.0000
Nb: 0.7500 0.7500 0.0000
Mo: 0.0000 0.0000 0.5000
Mo: 0.5000 0.5000 0.5000
W: 0.0842 0.9158 0.2513
W: 0.4158 0.5842 0.2513
W: 0.5842 0.4158 0.7487
W: 0.9158 0.0842 0.7487



# Ta2NbMo6W3
Computed PXRD pattern, λ = 1.5418 Å (Cu Kα). Input: a GGA-PBE-relaxed structure.

Largest 8 diffraction maxima, most intense first, 2θ = 10–90°:
39.8°, 2.262 Å, I 100
72.3°, 1.307 Å, I 26
57.6°, 1.601 Å, I 11
72.4°, 1.305 Å, I 9
27.9°, 3.199 Å, I 8
86.0°, 1.131 Å, I 7
57.7°, 1.597 Å, I 6
85.8°, 1.132 Å, I 4

Structure:
Unit cell a=7.8395 b=7.8395 c=4.5279 alpha=106.76 beta=106.76 gamma=120.11
Fractional positions:
Ta: 0.1665 0.8335 0.0000
Ta: 0.8335 0.1665 0.0000
Nb: 0.5000 0.5000 0.0000
Mo: 0.0836 0.4167 0.7502
Mo: 0.2504 0.2504 0.2503
Mo: 0.4167 0.0836 0.7502
Mo: 0.5833 0.9164 0.2498
Mo: 0.7496 0.7496 0.7497
Mo: 0.9164 0.5833 0.2498
W: 0.0000 0.0000 0.5000
W: 0.3327 0.6673 0.5000
W: 0.6673 0.3327 0.5000